Record 1
The following is a simulated X-ray diffraction stick pattern of Tb5Pm2Sb4. It was derived from a GGA-PBE-relaxed structure, using a wavelength of 1.5418 Å.
Intensities are scaled so that the largest is 100.

Top 10 peaks for 10° ≤ 2θ ≤ 90°, by angle:
| hkl | Position (°2θ) | I_rel |
| --- | --- | --- |
| 1 1 0 | 22.19 | 43 |
| 3 1 1 | 27.64 | 100 |
| 8 0 -1 | 29.87 | 99 |
| 6 0 2 | 33.65 | 42 |
| 1 1 -2 | 33.86 | 42 |
| 1 1 2 | 34.10 | 63 |
| 7 1 -1 | 34.83 | 39 |
| 9 1 1 | 41.00 | 39 |
| 0 2 0 | 44.70 | 51 |
| 8 2 -1 | 54.69 | 36 |

Structure:
a = 25.9256 Å, b = 4.0557 Å, c = 7.0184 Å
α = 90.00°, β = 92.58°, γ = 90.00°
Space group C2/m (No. 12)
One atom of each set of equivalent atoms:
Tb (0.0000, 0.0000, 0.0000) x2
Tb (0.1429, 0.5000, 0.1947) x4
Tb (0.2363, 0.5000, 0.7727) x4
Pm (0.0919, 0.5000, 0.7034) x4
Sb (0.0311, 0.5000, 0.3047) x4
Sb (0.1729, 0.0000, 0.5154) x4

=====

Record 2
The following is a simulated X-ray diffraction stick pattern of BaTaPb. It was derived from a GGA-PBE-relaxed structure, using a wavelength of 1.5418 Å.
Intensities are scaled so that the largest is 100.

Top 10 peaks for 10° ≤ 2θ ≤ 90°, by angle:
| hkl | Position (°2θ) | I_rel |
| --- | --- | --- |
| 0 0 2 | 10.95 | 16 |
| 1 0 3 | 32.15 | 100 |
| 0 0 6 | 33.28 | 18 |
| 1 1 0 | 39.16 | 32 |
| 1 0 5 | 39.30 | 9 |
| 1 1 6 | 52.31 | 21 |
| 2 0 0 | 56.59 | 11 |
| 1 0 9 | 58.75 | 10 |
| 2 1 3 | 66.59 | 25 |
| 2 0 6 | 67.25 | 10 |

Structure:
a = 3.2530 Å, b = 3.2530 Å, c = 16.1551 Å
α = 90.00°, β = 90.00°, γ = 90.00°
Space group I4mm (No. 107)
One atom of each set of equivalent atoms:
Ba (0.0000, 0.0000, 0.0000) x2
Ta (0.0000, 0.0000, 0.6737) x2
Pb (0.0000, 0.0000, 0.3096) x2

=====

Record 3
The following is a simulated X-ray diffraction stick pattern of Er2P3Ir5. It was derived from a GGA-PBE-relaxed structure, using a wavelength of 1.5418 Å.
Intensities are scaled so that the largest is 100.

Top 10 peaks for 10° ≤ 2θ ≤ 90°, by angle:
| hkl | Position (°2θ) | I_rel |
| --- | --- | --- |
| 1 5 1 | 31.92 | 49 |
| 0 6 2 | 34.81 | 21 |
| 1 1 2 | 35.51 | 45 |
| 1 7 1 | 36.66 | 100 |
| 1 3 2 | 37.02 | 35 |
| 0 10 1 | 38.92 | 19 |
| 0 4 3 | 43.62 | 23 |
| 2 0 0 | 45.62 | 38 |
| 1 11 1 | 48.54 | 18 |
| 1 11 4 | 75.31 | 15 |

Structure:
a = 3.9767 Å, b = 24.7052 Å, c = 6.6095 Å
α = 90.00°, β = 90.00°, γ = 90.00°
Space group Cmc2_1 (No. 36)
One atom of each set of equivalent atoms:
Er (0.0000, 0.0258, 0.0000) x4
Er (0.0000, 0.3239, 0.9757) x4
P (0.0000, 0.1102, 0.2717) x4
P (0.0000, 0.2872, 0.3998) x4
P (0.0000, 0.4601, 0.1969) x4
Ir (0.0000, 0.0894, 0.6226) x4
Ir (0.0000, 0.1867, 0.0855) x4
Ir (0.0000, 0.2375, 0.7142) x4
Ir (0.0000, 0.3848, 0.4128) x4
Ir (0.0000, 0.4420, 0.8257) x4

=====

Record 4
The following is a simulated X-ray diffraction stick pattern of Pm3ErSb3. It was derived from a GGA-PBE-relaxed structure, using a wavelength of 1.5418 Å.
Intensities are scaled so that the largest is 100.

Top 10 peaks for 10° ≤ 2θ ≤ 90°, by angle:
| hkl | Position (°2θ) | I_rel |
| --- | --- | --- |
| 3 0 1 | 30.18 | 100 |
| 3 1 2 | 35.88 | 67 |
| 4 2 0 | 43.20 | 10 |
| 3 3 2 | 45.42 | 9 |
| 4 2 2 | 47.56 | 18 |
| 4 3 1 | 49.63 | 24 |
| 6 1 1 | 60.98 | 25 |
| 6 0 2 | 62.74 | 12 |
| 5 4 1 | 64.48 | 14 |
| 5 5 2 | 74.44 | 15 |

Structure:
a = 9.3656 Å, b = 9.3656 Å, c = 9.3656 Å
α = 90.00°, β = 90.00°, γ = 90.00°
Space group P2_13 (No. 198)
One atom of each set of equivalent atoms:
Pm (0.0676, 0.4324, 0.5676) x4
Pm (0.1768, 0.8232, 0.3232) x4
Pm (0.1791, 0.1791, 0.1791) x4
Er (0.0727, 0.5727, 0.9273) x4
Sb (0.0019, 0.2558, 0.8720) x12

=====

Record 5
The following is a simulated X-ray diffraction stick pattern of Pr3Nd4TmS8. It was derived from a GGA-PBE-relaxed structure, using a wavelength of 1.5418 Å.
Intensities are scaled so that the largest is 100.

Top 10 peaks for 10° ≤ 2θ ≤ 90°, by angle:
| hkl | Position (°2θ) | I_rel |
| --- | --- | --- |
| 2 0 2 | 26.90 | 75 |
| 0 2 4 | 31.16 | 100 |
| 2 2 0 | 44.65 | 72 |
| 2 2 6 | 52.88 | 28 |
| 4 0 4 | 55.42 | 19 |
| 0 4 8 | 64.99 | 12 |
| 4 2 2 | 71.62 | 12 |
| 2 4 4 | 73.77 | 16 |
| 2 2 12 | 73.88 | 16 |
| 6 0 0 | 82.24 | 18 |

Structure:
a = 8.1250 Å, b = 8.1250 Å, c = 19.8517 Å
α = 90.00°, β = 90.00°, γ = 120.00°
Space group R-3m (No. 166, hexagonal axes)
One atom of each set of equivalent atoms:
Pr (0.0000, 0.5000, 0.0000) x9
Nd (0.0000, 0.0000, 0.5000) x3
Nd (0.0000, 0.5000, 0.5000) x9
Tm (0.0000, 0.0000, 0.0000) x3
S (0.0000, 0.0000, 0.2489) x6
S (0.0130, 0.5065, 0.7478) x18

=====

Record 6
The following is a simulated X-ray diffraction stick pattern of Ag2S. It was derived from a GGA-PBE-relaxed structure, using a wavelength of 1.5418 Å.
Intensities are scaled so that the largest is 100.

Top 10 peaks for 10° ≤ 2θ ≤ 90°, by angle:
| hkl | Position (°2θ) | I_rel |
| --- | --- | --- |
| 0 1 1 | 17.21 | 33 |
| 1 2 -1 | 28.65 | 100 |
| 0 1 2 | 29.39 | 52 |
| 0 3 1 | 34.82 | 29 |
| 1 1 1 | 35.02 | 62 |
| 1 1 -3 | 35.59 | 36 |
| 2 0 -2 | 38.83 | 42 |
| 1 3 -2 | 40.16 | 28 |
| 1 2 -3 | 40.31 | 32 |
| 0 4 1 | 45.31 | 31 |

Structure:
a = 4.6396 Å, b = 8.4129 Å, c = 7.9330 Å
α = 90.00°, β = 124.74°, γ = 90.00°
Space group Pc (No. 7)
One atom of each set of equivalent atoms:
Ag (0.0000, 0.0720, 0.0000) x2
Ag (0.3365, 0.2944, 0.7970) x2
Ag (0.5570, 0.1578, 0.5528) x2
Ag (0.7740, 0.3954, 0.3778) x2
S (0.4162, 0.4382, 0.5332) x2
S (0.6122, 0.1284, 0.1174) x2

=====

Please write out number 5 again, unchanged.
The following is a simulated X-ray diffraction stick pattern of Pr3Nd4TmS8. It was derived from a GGA-PBE-relaxed structure, using a wavelength of 1.5418 Å.
Intensities are scaled so that the largest is 100.

Top 10 peaks for 10° ≤ 2θ ≤ 90°, by angle:
| hkl | Position (°2θ) | I_rel |
| --- | --- | --- |
| 2 0 2 | 26.90 | 75 |
| 0 2 4 | 31.16 | 100 |
| 2 2 0 | 44.65 | 72 |
| 2 2 6 | 52.88 | 28 |
| 4 0 4 | 55.42 | 19 |
| 0 4 8 | 64.99 | 12 |
| 4 2 2 | 71.62 | 12 |
| 2 4 4 | 73.77 | 16 |
| 2 2 12 | 73.88 | 16 |
| 6 0 0 | 82.24 | 18 |

Structure:
a = 8.1250 Å, b = 8.1250 Å, c = 19.8517 Å
α = 90.00°, β = 90.00°, γ = 120.00°
Space group R-3m (No. 166, hexagonal axes)
One atom of each set of equivalent atoms:
Pr (0.0000, 0.5000, 0.0000) x9
Nd (0.0000, 0.0000, 0.5000) x3
Nd (0.0000, 0.5000, 0.5000) x9
Tm (0.0000, 0.0000, 0.0000) x3
S (0.0000, 0.0000, 0.2489) x6
S (0.0130, 0.5065, 0.7478) x18